Structure and calculated powder diffraction line list of CsPmBO4 (DFT lattice parameters and positions (PBE); λ = 1.5418 Å (Cu Kα)).

Structural model:
abc: 5.3817 5.4803 7.9076
angles: 90.00 95.20 90.00
Space group P2_1/m (No. 11)
Symmetry-distinct sites (fractional):
Cs1 0.2492 0.2500 0.4062 [2 per cell]
Pm1 0.2837 0.7500 0.0274 [2 per cell]
B1 0.2084 0.2500 0.8416 [2 per cell]
O1 0.0311 0.7500 0.2614 [2 per cell]
O2 0.1580 0.2500 0.0264 [2 per cell]
O3 0.3654 0.0326 0.8155 [4 per cell]

Peak list (8 most intense, 5° ≤ 2θ ≤ 70°, sorted by position)
2θ/deg  Rel. int.
11.24  36
22.58  34
25.18  99
26.52  100
27.90  49
32.68  43
33.44  35
45.75  26

Structure and calculated powder diffraction line list of Zr21S8 (DFT lattice parameters and positions (PBE); λ = 1.5418 Å (Cu Kα)).

Structural model:
abc: 18.0562 18.0562 3.5422
angles: 90.00 90.00 90.00
Space group I4/m (No. 87)
Symmetry-distinct sites (fractional):
Zr1 0.0000 0.0000 0.0000 [2 per cell]
Zr2 0.0342 0.2731 0.0000 [8 per cell]
Zr3 0.0453 0.8640 0.5000 [8 per cell]
Zr4 0.0487 0.4167 0.5000 [8 per cell]
Zr5 0.1038 0.6914 0.5000 [8 per cell]
Zr6 0.1946 0.8007 0.0000 [8 per cell]
S1 0.0671 0.1323 0.0000 [8 per cell]
S2 0.1463 0.2956 0.5000 [8 per cell]

Peak list (8 most intense, 5° ≤ 2θ ≤ 70°, sorted by position)
2θ/deg  Rel. int.
30.92  21
32.51  25
35.14  47
35.50  100
36.91  61
37.95  24
51.61  23
63.29  27

Structure and calculated powder diffraction line list of Pr3Nd12Er (DFT lattice parameters and positions (PBE); λ = 1.5418 Å (Cu Kα)).

Structural model:
abc: 5.1988 5.1988 20.7704
angles: 90.00 90.00 90.00
Space group P4/mmm (No. 123)
Symmetry-distinct sites (fractional):
Pr1 0.0000 0.0000 0.0000 [1 per cell]
Pr2 0.0000 0.0000 0.2515 [2 per cell]
Nd1 0.0000 0.5000 0.1256 [4 per cell]
Nd2 0.0000 0.5000 0.3773 [4 per cell]
Nd3 0.5000 0.5000 0.0000 [1 per cell]
Nd4 0.5000 0.5000 0.2519 [2 per cell]
Nd5 0.5000 0.5000 0.5000 [1 per cell]
Er1 0.0000 0.0000 0.5000 [1 per cell]

Peak list (5 most intense, 5° ≤ 2θ ≤ 70°, sorted by position)
2θ/deg  Rel. int.
29.78  100
34.52  51
49.62  36
58.95  43
61.85  12

Structure and calculated powder diffraction line list of DyY4Sc4 (DFT lattice parameters and positions (PBE); λ = 1.5418 Å (Cu Kα)).

Structural model:
abc: 17.0925 3.5379 8.9947
angles: 90.00 107.74 90.00
Space group C2/m (No. 12)
Symmetry-distinct sites (fractional):
Dy1 0.0000 0.0000 0.0000 [2 per cell]
Y1 0.1606 0.5000 0.9380 [4 per cell]
Y2 0.1971 0.0000 0.3049 [4 per cell]
Sc1 0.0219 0.5000 0.3306 [4 per cell]
Sc2 0.1240 0.0000 0.6080 [4 per cell]

Peak list (8 most intense, 5° ≤ 2θ ≤ 70°, sorted by position)
2θ/deg  Rel. int.
10.33  43
30.22  33
31.37  90
33.01  30
33.60  100
33.79  93
55.24  25
61.71  24

Structure and calculated powder diffraction line list of CsSnBr2Cl (DFT lattice parameters and positions (PBE); λ = 1.5418 Å (Cu Kα)).

Structural model:
abc: 8.3160 8.3160 11.4067
angles: 90.00 90.00 90.00
Space group I4cm (No. 108)
Symmetry-distinct sites (fractional):
Cs1 0.0000 0.5000 0.0000 [4 per cell]
Sn1 0.0000 0.0000 0.2443 [4 per cell]
Br1 0.2159 0.2841 0.2497 [8 per cell]
Cl1 0.0000 0.0000 0.0133 [4 per cell]

Peak list (8 most intense, 5° ≤ 2θ ≤ 70°, sorted by position)
2θ/deg  Rel. int.
21.71  100
26.53  57
30.40  92
31.37  47
37.67  65
43.53  29
44.25  63
54.63  29

Structure and calculated powder diffraction line list of MgH16I2O8 (DFT lattice parameters and positions (PBE); λ = 1.5418 Å (Cu Kα)).

Structural model:
abc: 8.5790 15.8509 9.9447
angles: 90.00 90.00 90.00
Space group Cmce (No. 64)
Symmetry-distinct sites (fractional):
Mg1 0.0000 0.0000 0.0000 [4 per cell]
H1 0.0000 0.1277 0.1926 [8 per cell]
H2 0.0000 0.1740 0.0516 [8 per cell]
H3 0.0922 0.0898 0.7877 [16 per cell]
H4 0.1859 0.0477 0.4764 [16 per cell]
H5 0.2214 0.1930 0.6748 [16 per cell]
I1 0.0000 0.1784 0.4450 [8 per cell]
O1 0.0000 0.0559 0.8139 [8 per cell]
O2 0.0000 0.1180 0.0948 [8 per cell]
O3 0.2458 0.0000 0.0000 [8 per cell]
O4 0.2500 0.1561 0.7500 [8 per cell]

Peak list (8 most intense, 5° ≤ 2θ ≤ 70°, sorted by position)
2θ/deg  Rel. int.
17.84  29
20.71  37
21.40  29
21.68  100
29.20  26
29.73  22
31.40  23
36.86  25

Structure and calculated powder diffraction line list of BaTbCu2Se4 (DFT lattice parameters and positions (PBE); λ = 1.5418 Å (Cu Kα)).

Structural model:
abc: 6.9962 6.9962 8.6248
angles: 90.00 90.00 90.00
Space group I-42m (No. 121)
Symmetry-distinct sites (fractional):
Ba1 0.0000 0.0000 0.0000 [2 per cell]
Tb1 0.0000 0.0000 0.5000 [2 per cell]
Cu1 0.0000 0.5000 0.2500 [4 per cell]
Se1 0.2180 0.2180 0.2953 [8 per cell]

Peak list (8 most intense, 5° ≤ 2θ ≤ 70°, sorted by position)
2θ/deg  Rel. int.
17.93  18
27.44  100
32.97  48
36.32  57
46.11  54
52.31  17
56.63  19
67.89  13

Structure and calculated powder diffraction line list of Li2ZrN (DFT lattice parameters and positions (PBE); λ = 1.5418 Å (Cu Kα)).

Structural model:
abc: 8.0390 8.0390 8.0390
angles: 90.00 90.00 90.00
Space group Fd-3m (No. 227, origin choice 2)
Symmetry-distinct sites (fractional):
Li1 0.0000 0.0000 0.0000 [16 per cell]
Zr1 0.1250 0.1250 0.6250 [8 per cell]
N1 0.1250 0.1250 0.1250 [8 per cell]

Peak list (8 most intense, 5° ≤ 2θ ≤ 70°, sorted by position)
2θ/deg  Rel. int.
19.12  50
31.48  100
37.09  42
45.11  14
49.42  13
56.04  35
59.78  14
65.71  13

Structure and calculated powder diffraction line list of ThTc4Ge2 (DFT lattice parameters and positions (PBE); λ = 1.5418 Å (Cu Kα)).

Structural model:
abc: 4.1977 14.2336 4.1402
angles: 90.00 90.00 90.00
Space group Cmmm (No. 65)
Symmetry-distinct sites (fractional):
Th1 0.0000 0.0000 0.0000 [2 per cell]
Tc1 0.0000 0.1927 0.5000 [4 per cell]
Tc2 0.0000 0.3019 0.0000 [4 per cell]
Ge1 0.0000 0.4106 0.5000 [4 per cell]

Peak list (8 most intense, 5° ≤ 2θ ≤ 70°, sorted by position)
2θ/deg  Rel. int.
30.98  22
33.20  24
35.87  100
38.20  18
43.10  30
43.73  28
44.23  18
63.08  19

Structure and calculated powder diffraction line list of LiNpF5 (DFT lattice parameters and positions (PBE); λ = 1.5418 Å (Cu Kα)).

Structural model:
abc: 5.8234 5.8299 8.3689
angles: 106.40 107.35 99.44
Space group P-1 (No. 2)
Symmetry-distinct sites (fractional):
Li1 0.0766 0.3275 0.2503 [2 per cell]
Np1 0.5000 0.0000 0.5000 [1 per cell]
Np2 0.5000 0.5000 0.0000 [1 per cell]
F1 0.1878 0.0919 0.3467 [2 per cell]
F2 0.2036 0.3279 0.0631 [2 per cell]
F3 0.2560 0.6591 0.8458 [2 per cell]
F4 0.2636 0.6416 0.4367 [2 per cell]
F5 0.4184 0.1684 0.7502 [2 per cell]

Peak list (8 most intense, 5° ≤ 2θ ≤ 70°, sorted by position)
2θ/deg  Rel. int.
16.56  93
16.57  93
23.16  39
23.40  51
23.53  100
23.62  44
23.80  36
37.45  32

Structure and calculated powder diffraction line list of NaLaH6Ir (DFT lattice parameters and positions (PBE); λ = 1.5418 Å (Cu Kα)).

Structural model:
abc: 4.9503 4.9503 4.4784
angles: 90.00 90.00 120.00
Space group P3m1 (No. 156)
Symmetry-distinct sites (fractional):
Na1 0.0000 0.0000 0.0000 [1 per cell]
La1 0.6667 0.3333 0.4820 [1 per cell]
H1 0.0007 0.5004 0.9992 [3 per cell]
H2 0.1706 0.3412 0.5619 [3 per cell]
Ir1 0.3333 0.6667 0.7878 [1 per cell]

Peak list (8 most intense, 5° ≤ 2θ ≤ 70°, sorted by position)
2θ/deg  Rel. int.
19.82  21
20.72  37
28.83  100
36.29  50
41.69  19
45.71  33
47.00  27
60.79  25

Structure and calculated powder diffraction line list of Ga2Sb2Au5 (DFT lattice parameters and positions (PBE); λ = 1.5418 Å (Cu Kα)).

Structural model:
abc: 4.1970 4.1970 12.4429
angles: 90.00 90.00 120.00
Space group P-3m1 (No. 164)
Symmetry-distinct sites (fractional):
Ga1 0.0000 0.0000 0.1471 [2 per cell]
Sb1 0.3333 0.6667 0.3729 [2 per cell]
Au1 0.0000 0.0000 0.5000 [1 per cell]
Au2 0.3333 0.6667 0.0611 [2 per cell]
Au3 0.3333 0.6667 0.7563 [2 per cell]

Peak list (8 most intense, 5° ≤ 2θ ≤ 70°, sorted by position)
2θ/deg  Rel. int.
25.53  11
28.44  8
32.76  100
38.08  13
43.11  52
50.69  20
55.18  23
68.68  9